This entry pairs a crystal structure of PrMgS3 with its calculated powder X-ray diffraction pattern. Radiation: Cu Ka. Structure: a structure optimized by DFT (PBE).

Atomic structure:
```
PrMgS3
1.0
3.7661 -5.8702 0.0000
3.7661 5.8702 0.0000
-2.7594 0.0000 5.9635
Pr Mg S
2 2 6
Cartesian
0.5733 0.0000 1.9450
4.1994 0.0000 4.0184
3.7661 1.9634 0.0000
3.7661 -1.9634 0.0000
2.6357 3.8566 1.2560
2.1370 3.8566 4.7075
1.5199 0.0000 4.4843
3.2529 0.0000 1.4792
2.6357 -3.8566 1.2560
2.1370 -3.8566 4.7075
```

Main lines, sorted by position (2θ = 10–80°):
two_theta, I_rel
15.1, 100
16.9, 45
21.2, 41
24.8, 60
27.4, 50
28.2, 58
28.4, 58
33.0, 41
39.1, 40
45.0, 37

This entry pairs a crystal structure of UF5 with its calculated powder X-ray diffraction pattern. Radiation: Cu Ka. Structure: a structure optimized by DFT (PBE).

Atomic structure:
```
UF5
1.0
-5.8430 5.8430 3.0030
5.8430 -5.8430 3.0030
5.8430 5.8430 -3.0030
U F
4 20
Cartesian
0.8112 2.9215 0.7508
-2.9215 5.0318 2.2523
-0.8112 8.7645 0.7508
2.9215 6.6542 2.2523
1.5935 0.9425 -0.2169
3.8338 -0.6968 1.0317
8.7645 2.8483 -0.7508
6.5398 -2.0092 1.9714
4.9005 -4.2495 3.2200
7.8522 0.6968 1.0317
5.1461 3.8338 -0.4699
2.8483 2.9215 0.7508
5.1461 2.0092 1.9714
2.0092 -0.6968 3.4729
-0.9425 4.2495 1.2846
0.6968 2.0092 2.5332
-2.9215 2.9947 2.2523
3.8338 6.5398 0.4698
1.5935 4.9005 1.7185
0.9425 7.4365 1.2846
-1.5935 6.7854 1.7185
2.9947 2.9215 3.7538
4.2495 4.9005 2.7861
0.9425 10.0924 0.2169
```

Main lines, sorted by position (2θ = 10–80°):
two_theta, I_rel
16.6, 69
21.5, 32
22.6, 100
24.1, 64
33.6, 30
35.0, 28
41.5, 28
44.4, 17
44.6, 20
45.2, 21

This entry pairs a crystal structure of TaO2 with its calculated powder X-ray diffraction pattern. Radiation: Cu Ka. Structure: a structure optimized by DFT (PBE).

Atomic structure:
```
TaO2
1.0
-6.9113 6.9113 3.0118
6.9113 -6.9113 3.0118
6.9113 6.9113 -3.0118
Ta O
16 32
Cartesian
5.1621 5.0399 -1.6573
5.1621 -1.8714 1.6573
5.3271 1.7064 0.1514
11.9930 1.7304 0.1568
1.7253 1.6260 1.3491
8.6366 1.6260 1.6627
1.8296 5.1809 0.1568
8.4956 5.2049 0.1514
-1.5843 1.7064 2.8605
5.0817 1.7304 2.8550
-1.7253 5.2853 1.3491
5.1860 5.2853 1.6627
-5.0817 5.1809 2.8550
1.5843 5.2049 2.8605
1.7492 8.7827 1.3546
1.7492 1.8714 4.6691
8.6584 -3.0785 1.4707
8.6584 3.8328 -1.4707
7.0878 -5.1610 2.9188
3.2857 1.7203 -0.0380
7.2885 1.7086 -0.0352
10.0311 1.7311 -0.0047
8.6358 -0.3359 1.5012
1.7245 -0.3359 1.5106
5.1759 0.1700 1.4679
5.1759 7.0813 -1.4679
6.7349 -1.7503 2.9188
3.6256 -1.7203 2.9738
6.5342 5.2027 -0.0352
3.7916 5.1802 -0.0047
5.2060 3.2792 1.4129
8.6166 3.6321 1.4129
-1.7053 3.2792 1.5989
1.7053 3.6321 1.5989
3.1198 1.7311 3.0165
0.3772 1.7086 3.0470
3.2857 8.6316 0.0380
0.1764 8.6617 0.0930
1.7354 -0.1700 4.4797
1.7354 6.7413 1.5439
5.1868 7.2472 1.5012
-1.7245 7.2472 1.5106
-3.1198 5.1802 3.0165
-0.3772 5.2027 3.0470
3.6256 5.1911 3.0498
-0.1764 12.0723 0.0930
-1.7470 3.0785 4.4825
-1.7470 9.9898 1.5411
```

Main lines, sorted by position (2θ = 10–80°):
two_theta, I_rel
25.8, 100
35.0, 74
36.8, 26
51.7, 55
53.0, 16
59.8, 16
61.6, 5
65.1, 15
67.9, 9
77.2, 12